Structure and theoretical powder diffractogram of ErTl3 (a cell relaxed with PBE; Cu Kα, 1.54184 Å).

Peak list (6 most intense, 2θ = 15–90°, in order of falling intensity)
32.55°, I = 100; 37.76°, I = 51; 64.90°, I = 42; 54.46°, I = 36; 89.69°, I = 19; 68.17°, I = 12

Atomic structure:
```
data_ErTl3
_chemical_formula_sum 'Er1 Tl3'
_symmetry_space_group_name_H-M 'P m -3 m'
_symmetry_Int_Tables_number 221
_symmetry_space_group_name_Hall '-P 4 2 3'
_cell_length_a 4.765
_cell_length_b 4.765
_cell_length_c 4.765
_cell_angle_alpha 90.00
_cell_angle_beta 90.00
_cell_angle_gamma 90.00
loop_
_atom_site_label
_atom_site_type_symbol
_atom_site_fract_x
_atom_site_fract_y
_atom_site_fract_z
Er1 Er 0.000 0.000 0.000
Tl1 Tl 0.000 0.500 0.500
```